Entry 1:
# Tm4ScGa15
Theoretical X-ray powder pattern, copper Kα. Input: DFT lattice parameters and positions (PBE).
Neutral-atom scattering factors, no anomalous dispersion.

Most intense lines, 15° ≤ 2θ ≤ 90°, sorted by position:
index, 2θ (°), d (Å), intensity
0 0 5, 21.08, 4.214, 11.4
1 1 0, 29.99, 2.980, 9.5
1 1 5, 36.95, 2.433, 100.0
2 0 0, 42.86, 2.110, 33.0
0 0 10, 43.05, 2.101, 16.2
2 2 0, 62.22, 1.492, 10.7
2 0 10, 62.37, 1.489, 20.9
3 1 5, 74.62, 1.272, 24.6
1 1 15, 74.88, 1.268, 11.7
2 2 10, 78.65, 1.216, 10.5

Structure:
```
data_Tm4ScGa15
_symmetry_space_group_name_H-M 'P 4/m m m'
_symmetry_Int_Tables_number 123
_symmetry_space_group_name_Hall '-P 4 2'
_cell_length_a 4.220
_cell_length_b 4.220
_cell_length_c 21.013
_cell_angle_alpha 90.00
_cell_angle_beta 90.00
_cell_angle_gamma 90.00
loop_
_atom_site_label
_atom_site_fract_x
_atom_site_fract_y
_atom_site_fract_z
Tm1 0.000 0.000 0.101
Tm2 0.000 0.000 0.303
Sc1 0.000 0.000 0.500
Ga1 0.000 0.500 0.000
Ga2 0.000 0.500 0.201
Ga3 0.000 0.500 0.404
Ga4 0.500 0.500 0.101
Ga5 0.500 0.500 0.301
Ga6 0.500 0.500 0.500
```


Entry 2:
# Gd2AgTe
Theoretical X-ray powder pattern, copper Kα. Input: DFT lattice parameters and positions (PBE).
Neutral-atom scattering factors, no anomalous dispersion.

Most intense lines, 15° ≤ 2θ ≤ 90°, sorted by position:
index, 2θ (°), d (Å), intensity
1 0 4, 29.04, 3.075, 100.0
0 1 8, 40.31, 2.237, 40.7
1 1 0, 42.74, 2.116, 35.0
0 0 12, 48.32, 1.883, 7.8
0 2 4, 52.50, 1.743, 19.0
2 0 8, 60.20, 1.537, 12.3
1 1 12, 66.46, 1.407, 17.9
2 1 4, 69.93, 1.345, 15.9
1 0 16, 71.59, 1.318, 7.0
1 2 8, 76.61, 1.244, 12.1

Structure:
```
data_Gd2AgTe
_symmetry_space_group_name_H-M 'R -3 m'
_symmetry_Int_Tables_number 166
_symmetry_space_group_name_Hall '-R 3 2"'
_cell_length_a 4.2315
_cell_length_b 4.2315
_cell_length_c 22.6010
_cell_angle_alpha 90.00
_cell_angle_beta 90.00
_cell_angle_gamma 120.00
loop_
_atom_site_label
_atom_site_fract_x
_atom_site_fract_y
_atom_site_fract_z
Gd1 0.0000 0.0000 0.2466
Ag1 0.0000 0.0000 0.5000
Te1 0.0000 0.0000 0.0000
```